(1)
The following is a computed X-ray powder pattern of Tm2MgTl3Se6. It was derived from the PBE geometry in Alexandria, using copper Kα.
Neutral-atom scattering factors, no anomalous dispersion.

Peak list (6 most intense, 2θ from 10° to 80°, in order of rising 2θ)
26.2°, rel. 162
29.6°, rel. 1000
40.9°, rel. 362
43.9°, rel. 360
53.9°, rel. 188
71.9°, rel. 159

Structure:
Unit cell a=7.146 b=7.146 c=7.863 alpha=98.71 beta=98.71 gamma=120.03
Fractional coordinates of all 12 atoms:
Tm 0.166 0.834 0.000
Tm 0.834 0.166 0.000
Mg 0.500 0.500 0.000
Tl 0.000 0.000 0.500
Tl 0.332 0.668 0.500
Tl 0.668 0.332 0.500
Se 0.103 0.432 0.797
Se 0.239 0.239 0.204
Se 0.432 0.103 0.797
Se 0.568 0.897 0.203
Se 0.761 0.761 0.796
Se 0.897 0.568 0.203



(2)
The following is a computed X-ray powder pattern of Na6Cd7S10. It was derived from the PBE geometry in Alexandria, using copper Kα.
Neutral-atom scattering factors, no anomalous dispersion.

Peak list (6 most intense, 2θ from 10° to 80°, in order of rising 2θ)
12.9°, rel. 1000
14.0°, rel. 707
24.1°, rel. 974
27.3°, rel. 820
35.9°, rel. 739
41.1°, rel. 940

Structure:
Unit cell a=13.516 b=13.516 c=10.481 alpha=107.75 beta=107.75 gamma=17.86
Fractional coordinates of all 23 atoms:
Na 0.000 0.000 0.000
Na 0.013 0.013 0.368
Na 0.130 0.130 0.936
Na 0.311 0.311 0.601
Na 0.718 0.718 0.812
Na 0.903 0.903 0.428
Cd 0.170 0.170 0.473
Cd 0.362 0.362 0.138
Cd 0.457 0.457 0.709
Cd 0.574 0.574 0.666
Cd 0.618 0.618 0.154
Cd 0.761 0.761 0.284
Cd 0.857 0.857 0.888
S 0.092 0.092 0.254
S 0.132 0.132 0.673
S 0.300 0.300 0.882
S 0.324 0.324 0.333
S 0.483 0.483 0.494
S 0.546 0.546 0.894
S 0.693 0.693 0.060
S 0.729 0.729 0.499
S 0.899 0.899 0.703
S 0.919 0.919 0.135



(3)
The following is a computed X-ray powder pattern of ThTcH3. It was derived from the PBE geometry in Alexandria, using copper Kα.
Neutral-atom scattering factors, no anomalous dispersion.

Peak list (6 most intense, 2θ from 10° to 80°, in order of rising 2θ)
23.6°, rel. 162
33.7°, rel. 1000
48.4°, rel. 188
54.5°, rel. 78
60.2°, rel. 383
70.8°, rel. 120

Structure:
Unit cell a=3.763 b=3.763 c=3.763 alpha=90.00 beta=90.00 gamma=90.00
Fractional coordinates of all 5 atoms:
Th 0.000 0.000 0.000
Tc 0.500 0.500 0.500
H 0.000 0.500 0.500
H 0.500 0.000 0.500
H 0.500 0.500 0.000



(4)
The following is a computed X-ray powder pattern of Tb3PI7. It was derived from the PBE geometry in Alexandria, using copper Kα.
Neutral-atom scattering factors, no anomalous dispersion.

Peak list (6 most intense, 2θ from 10° to 80°, in order of rising 2θ)
11.7°, rel. 452
26.2°, rel. 1000
33.5°, rel. 577
41.0°, rel. 357
43.1°, rel. 295
49.3°, rel. 171

Structure:
Unit cell a=8.800 b=8.800 c=7.533 alpha=90.00 beta=90.00 gamma=120.00
Fractional coordinates of all 11 atoms:
Tb 0.011 0.505 0.000
Tb 0.495 0.505 0.000
Tb 0.495 0.989 0.000
P 0.333 0.667 0.159
I 0.170 0.341 0.757
I 0.170 0.830 0.757
I 0.340 0.170 0.224
I 0.659 0.830 0.757
I 0.667 0.333 0.753
I 0.830 0.170 0.224
I 0.830 0.660 0.224



(5)
The following is a computed X-ray powder pattern of PrNp4S6. It was derived from the PBE geometry in Alexandria, using copper Kα.
Neutral-atom scattering factors, no anomalous dispersion.

Peak list (6 most intense, 2θ from 10° to 80°, in order of rising 2θ)
26.3°, rel. 1000
27.4°, rel. 525
27.6°, rel. 366
32.2°, rel. 614
33.8°, rel. 542
45.9°, rel. 498

Structure:
Unit cell a=6.749 b=6.749 c=19.856 alpha=90.00 beta=90.00 gamma=146.35
Fractional coordinates of all 22 atoms:
Pr 0.156 0.844 0.750
Pr 0.844 0.156 0.250
Np 0.093 0.907 0.126
Np 0.093 0.907 0.374
Np 0.363 0.637 0.041
Np 0.363 0.637 0.459
Np 0.637 0.363 0.541
Np 0.637 0.363 0.959
Np 0.907 0.093 0.626
Np 0.907 0.093 0.874
S 0.000 0.000 0.000
S 0.000 0.000 0.500
S 0.182 0.818 0.250
S 0.269 0.731 0.588
S 0.269 0.731 0.912
S 0.455 0.545 0.166
S 0.455 0.545 0.334
S 0.545 0.455 0.666
S 0.545 0.455 0.834
S 0.731 0.269 0.088
S 0.731 0.269 0.412
S 0.818 0.182 0.750



(6)
The following is a computed X-ray powder pattern of ScPd4. It was derived from the PBE geometry in Alexandria, using copper Kα.
Neutral-atom scattering factors, no anomalous dispersion.

Peak list (6 most intense, 2θ from 10° to 80°, in order of rising 2θ)
38.9°, rel. 1000
39.3°, rel. 805
41.8°, rel. 278
42.6°, rel. 394
51.6°, rel. 208
61.2°, rel. 174

Structure:
Unit cell a=7.730 b=7.730 c=7.730 alpha=148.11 beta=137.90 gamma=53.77
Fractional coordinates of all 10 atoms:
Sc 0.355 0.105 0.250
Sc 0.645 0.895 0.750
Pd 0.000 0.500 0.500
Pd 0.147 0.897 0.250
Pd 0.191 0.694 0.497
Pd 0.303 0.306 0.997
Pd 0.500 0.500 0.000
Pd 0.697 0.694 0.003
Pd 0.809 0.306 0.503
Pd 0.853 0.103 0.750